(1)
The following is a simulated powder diffractogram of Rb2NaGaCl6. It was derived from a PBE-relaxed structure, using Cu Kα, 1.54184 Å.
Kinematic intensities with the Lorentz-polarization factor, no thermal factor.

Crystal structure
```
data_Rb2NaGaCl6
_chemical_formula_sum 'Rb2 Na1 Ga1 Cl6'
_cell_length_a 7.2317
_cell_length_b 7.2317
_cell_length_c 6.7671
_cell_angle_alpha 90.00
_cell_angle_beta 90.00
_cell_angle_gamma 120.00
_space_group_name_H-M_alt 'P -3 m 1'
_space_group_IT_number 164
_space_group_name_Hall '-P 3 2"'
loop_
_atom_site_label
_atom_site_fract_x
_atom_site_fract_y
_atom_site_fract_z
Rb1 0.3333 0.6667 0.1779
Na1 0.0000 0.0000 0.5000
Ga1 0.0000 0.0000 0.0000
Cl1 0.1564 0.3128 0.7920
```

Most intense lines, 2θ from 10° to 90°, low angle first:
2theta, Rel. int.
13.1, 47.6
14.1, 16.6
19.3, 23.9
24.6, 37.8
30.0, 22.4
31.5, 100.0
39.2, 55.5
46.8, 18.6
49.8, 17.5
50.5, 27.6


(2)
The following is a simulated powder diffractogram of FeAuI2. It was derived from a PBE-relaxed structure, using Cu Kα, 1.54184 Å.
Kinematic intensities with the Lorentz-polarization factor, no thermal factor.

Crystal structure
```
data_FeAuI2
_chemical_formula_sum 'Fe4 Au4 I8'
_cell_length_a 6.3698
_cell_length_b 6.3698
_cell_length_c 12.4515
_cell_angle_alpha 90.00
_cell_angle_beta 90.00
_cell_angle_gamma 90.00
_space_group_name_H-M_alt 'I -4 2 d'
_space_group_IT_number 122
_space_group_name_Hall 'I -4 2bw'
loop_
_atom_site_label
_atom_site_fract_x
_atom_site_fract_y
_atom_site_fract_z
Fe1 0.0000 0.0000 0.0000
Au1 0.0000 0.0000 0.5000
I1 0.2202 0.2500 0.1250
```

Most intense lines, 2θ from 10° to 90°, low angle first:
2theta, Rel. int.
15.6, 10.8
24.4, 100.0
25.6, 10.0
32.2, 13.0
40.0, 25.7
40.5, 51.4
47.4, 31.0
48.3, 15.7
64.5, 12.3
73.1, 15.6


(3)
The following is a simulated powder diffractogram of NdHg7. It was derived from a PBE-relaxed structure, using Cu Kα, 1.54184 Å.
Kinematic intensities with the Lorentz-polarization factor, no thermal factor.

Crystal structure
```
data_NdHg7
_chemical_formula_sum 'Nd2 Hg14'
_cell_length_a 4.6409
_cell_length_b 4.6409
_cell_length_c 19.1580
_cell_angle_alpha 90.00
_cell_angle_beta 90.00
_cell_angle_gamma 90.00
_space_group_name_H-M_alt 'I 4/m m m'
_space_group_IT_number 139
_space_group_name_Hall '-I 4 2'
loop_
_atom_site_label
_atom_site_fract_x
_atom_site_fract_y
_atom_site_fract_z
Nd1 0.0000 0.0000 0.0000
Hg1 0.0000 0.0000 0.2534
Hg2 0.0000 0.0000 0.5000
Hg3 0.0000 0.5000 0.1251
```

Most intense lines, 2θ from 10° to 90°, low angle first:
2theta, Rel. int.
33.1, 100.0
37.6, 17.8
38.8, 32.8
55.1, 23.8
56.0, 11.4
65.0, 14.6
66.7, 27.5
69.4, 12.1
80.2, 2.0
83.3, 3.8


(4)
The following is a simulated powder diffractogram of ScAgSn. It was derived from a PBE-relaxed structure, using Cu Kα, 1.54184 Å.
Kinematic intensities with the Lorentz-polarization factor, no thermal factor.

Crystal structure
```
data_ScAgSn
_chemical_formula_sum 'Sc4 Ag4 Sn4'
_cell_length_a 8.2599
_cell_length_b 4.8342
_cell_length_c 6.3952
_cell_angle_alpha 90.00
_cell_angle_beta 90.98
_cell_angle_gamma 90.00
_space_group_name_H-M_alt 'C 1 m 1'
_space_group_IT_number 8
_space_group_name_Hall 'C -2y'
loop_
_atom_site_label
_atom_site_fract_x
_atom_site_fract_y
_atom_site_fract_z
Sc1 0.0000 0.0000 0.0000
Sc2 0.1667 0.5000 0.6503
Ag1 0.1661 0.5000 0.1585
Ag2 0.3323 0.0000 0.3178
Sn1 0.3339 0.0000 0.8583
Sn2 0.4995 0.5000 0.4731
```

Most intense lines, 2θ from 10° to 90°, low angle first:
2theta, Rel. int.
25.4, 19.2
35.2, 53.0
35.5, 100.0
37.2, 46.5
37.6, 90.1
52.1, 32.6
62.0, 16.7
66.0, 16.0
66.1, 15.8
67.3, 15.7


(5)
The following is a simulated powder diffractogram of Ac4GeRh2. It was derived from a PBE-relaxed structure, using Cu Kα, 1.54184 Å.
Kinematic intensities with the Lorentz-polarization factor, no thermal factor.

Crystal structure
```
data_Ac4GeRh2
_chemical_formula_sum 'Ac16 Ge4 Rh8'
_cell_length_a 9.7609
_cell_length_b 9.7609
_cell_length_c 9.9528
_cell_angle_alpha 90.00
_cell_angle_beta 90.00
_cell_angle_gamma 90.00
_space_group_name_H-M_alt 'I 41 m d'
_space_group_IT_number 109
_space_group_name_Hall 'I 4bw -2'
loop_
_atom_site_label
_atom_site_fract_x
_atom_site_fract_y
_atom_site_fract_z
Ac1 0.0000 0.1915 0.0000
Ac2 0.0000 0.3084 0.5757
Ge1 0.0000 0.0000 0.6617
Rh1 0.0000 0.2504 0.2877
```

Most intense lines, 2θ from 10° to 90°, low angle first:
2theta, Rel. int.
25.6, 71.0
25.8, 100.0
28.4, 81.3
28.9, 45.1
34.3, 66.6
36.8, 38.1
43.1, 52.8
44.9, 32.6
46.9, 26.5
54.5, 26.0


(6)
The following is a simulated powder diffractogram of AcTb3Nd7. It was derived from a PBE-relaxed structure, using Cu Kα, 1.54184 Å.
Kinematic intensities with the Lorentz-polarization factor, no thermal factor.

Crystal structure
```
data_AcTb3Nd7
_chemical_formula_sum 'Ac2 Tb6 Nd14'
_cell_length_a 12.9945
_cell_length_b 11.3892
_cell_length_c 6.1062
_cell_angle_alpha 90.00
_cell_angle_beta 117.89
_cell_angle_gamma 90.00
_space_group_name_H-M_alt 'C 1 2/m 1'
_space_group_IT_number 12
_space_group_name_Hall '-C 2y'
loop_
_atom_site_label
_atom_site_fract_x
_atom_site_fract_y
_atom_site_fract_z
Ac1 0.0000 0.0000 0.0000
Tb1 0.0000 0.2911 0.5000
Tb2 0.0000 0.5000 0.0000
Nd1 0.0000 0.0000 0.5000
Nd2 0.1981 0.5000 0.6962
Nd3 0.2036 0.3001 0.2036
```

Most intense lines, 2θ from 10° to 90°, low angle first:
2theta, Rel. int.
22.0, 12.7
24.5, 14.9
29.3, 54.7
31.2, 20.8
31.4, 20.7
31.8, 100.0
31.8, 25.9
43.5, 17.1
53.5, 20.4
60.7, 19.7


(7)
The following is a simulated powder diffractogram of Ti6MnTl2. It was derived from a PBE-relaxed structure, using Cu Kα, 1.54184 Å.
Kinematic intensities with the Lorentz-polarization factor, no thermal factor.

Crystal structure
```
data_Ti6MnTl2
_chemical_formula_sum 'Ti12 Mn2 Tl4'
_cell_length_a 14.0101
_cell_length_b 5.8861
_cell_length_c 4.7594
_cell_angle_alpha 90.00
_cell_angle_beta 109.80
_cell_angle_gamma 90.00
_space_group_name_H-M_alt 'C 1 2/m 1'
_space_group_IT_number 12
_space_group_name_Hall '-C 2y'
loop_
_atom_site_label
_atom_site_fract_x
_atom_site_fract_y
_atom_site_fract_z
Ti1 0.0000 0.2418 0.0000
Ti2 0.1267 0.2540 0.6262
Mn1 0.0000 0.0000 0.5000
Tl1 0.1897 0.5000 0.1891
```

Most intense lines, 2θ from 10° to 90°, low angle first:
2theta, Rel. int.
24.0, 97.1
25.3, 78.9
27.6, 49.9
33.3, 22.4
37.8, 41.5
39.1, 40.9
41.5, 100.0
46.0, 31.8
50.3, 17.6
70.8, 19.2


(8)
The following is a simulated powder diffractogram of UHgSe. It was derived from a PBE-relaxed structure, using Cu Kα, 1.54184 Å.
Kinematic intensities with the Lorentz-polarization factor, no thermal factor.

Crystal structure
```
data_UHgSe
_chemical_formula_sum 'U2 Hg2 Se2'
_cell_length_a 3.5293
_cell_length_b 3.5293
_cell_length_c 12.4733
_cell_angle_alpha 90.00
_cell_angle_beta 90.00
_cell_angle_gamma 90.00
_space_group_name_H-M_alt 'I 4 m m'
_space_group_IT_number 107
_space_group_name_Hall 'I 4 -2'
loop_
_atom_site_label
_atom_site_fract_x
_atom_site_fract_y
_atom_site_fract_z
U1 0.0000 0.0000 0.0000
Hg1 0.0000 0.0000 0.3199
Se1 0.0000 0.0000 0.6156
```

Most intense lines, 2θ from 10° to 90°, low angle first:
2theta, Rel. int.
14.2, 13.7
26.2, 18.0
33.3, 100.0
36.0, 45.3
46.6, 10.2
51.8, 16.2
57.7, 15.8
58.0, 10.9
63.0, 33.0
87.4, 13.5


(9)
The following is a simulated powder diffractogram of Na2AsP. It was derived from a PBE-relaxed structure, using Cu Kα, 1.54184 Å.
Kinematic intensities with the Lorentz-polarization factor, no thermal factor.

Crystal structure
```
data_Na2AsP
_chemical_formula_sum 'Na4 As2 P2'
_cell_length_a 3.5211
_cell_length_b 9.1656
_cell_length_c 5.7468
_cell_angle_alpha 90.00
_cell_angle_beta 90.00
_cell_angle_gamma 90.00
_space_group_name_H-M_alt 'I m m 2'
_space_group_IT_number 44
_space_group_name_Hall 'I 2 -2'
loop_
_atom_site_label
_atom_site_fract_x
_atom_site_fract_y
_atom_site_fract_z
Na1 0.0000 0.2074 0.0000
As1 0.0000 0.5000 0.7936
P1 0.0000 0.0000 0.5761
```

Most intense lines, 2θ from 10° to 90°, low angle first:
2theta, Rel. int.
18.2, 100.0
19.4, 40.7
29.8, 58.7
33.2, 48.0
35.8, 75.0
36.9, 28.5
39.3, 24.2
41.8, 63.9
50.1, 22.4
66.0, 24.2


(10)
The following is a simulated powder diffractogram of Sm3Ho2Te5. It was derived from a PBE-relaxed structure, using Cu Kα, 1.54184 Å.
Kinematic intensities with the Lorentz-polarization factor, no thermal factor.

Crystal structure
```
data_Sm3Ho2Te5
_chemical_formula_sum 'Sm6 Ho4 Te10'
_cell_length_a 14.6270
_cell_length_b 4.3956
_cell_length_c 10.7725
_cell_angle_alpha 90.00
_cell_angle_beta 119.56
_cell_angle_gamma 90.00
_space_group_name_H-M_alt 'C 1 2/m 1'
_space_group_IT_number 12
_space_group_name_Hall '-C 2y'
loop_
_atom_site_label
_atom_site_fract_x
_atom_site_fract_y
_atom_site_fract_z
Sm1 0.0000 0.0000 0.0000
Sm2 0.2058 0.0000 0.8049
Ho1 0.0973 0.5000 0.4006
Te1 0.0000 0.0000 0.5000
Te2 0.0968 0.5000 0.8928
Te3 0.1988 0.0000 0.3089
```

Most intense lines, 2θ from 10° to 90°, low angle first:
2theta, Rel. int.
28.7, 100.0
41.0, 37.9
41.1, 37.8
50.7, 6.8
50.9, 20.2
59.4, 12.5
67.2, 17.1
67.4, 17.1
74.6, 6.3
74.8, 18.8


(11)
The following is a simulated powder diffractogram of Te4Pd2Cl. It was derived from a PBE-relaxed structure, using Cu Kα, 1.54184 Å.
Kinematic intensities with the Lorentz-polarization factor, no thermal factor.

Crystal structure
```
data_Te4Pd2Cl
_chemical_formula_sum 'Te32 Pd16 Cl8'
_cell_length_a 9.7226
_cell_length_b 10.7552
_cell_length_c 14.1450
_cell_angle_alpha 90.00
_cell_angle_beta 90.00
_cell_angle_gamma 90.00
_space_group_name_H-M_alt 'F d d d'
_space_group_IT_number 70
loop_
_space_group_symop_operation_xyz
'x,y,z'
'-x,-y,-z'
'-x+1/4,-y+1/4,z'
'x+1/4,y+1/4,-z'
'x,-y+1/4,-z+1/4'
'-x,y+1/4,z+1/4'
'-x+1/4,y,-z+1/4'
'x+1/4,-y,z+1/4'
'x,y+1/2,z+1/2'
'-x,-y+1/2,-z+1/2'
'-x+1/4,-y+3/4,z+1/2'
'x+1/4,y+3/4,-z+1/2'
'x,-y+3/4,-z+3/4'
'-x,y+3/4,z+3/4'
'-x+1/4,y+1/2,-z+3/4'
'x+1/4,-y+1/2,z+3/4'
'x+1/2,y,z+1/2'
'-x+1/2,-y,-z+1/2'
'-x+3/4,-y+1/4,z+1/2'
'x+3/4,y+1/4,-z+1/2'
'x+1/2,-y+1/4,-z+3/4'
'-x+1/2,y+1/4,z+3/4'
'-x+3/4,y,-z+3/4'
'x+3/4,-y,z+3/4'
'x+1/2,y+1/2,z'
'-x+1/2,-y+1/2,-z'
'-x+3/4,-y+3/4,z'
'x+3/4,y+3/4,-z'
'x+1/2,-y+3/4,-z+1/4'
'-x+1/2,y+3/4,z+1/4'
'-x+3/4,y+1/2,-z+1/4'
'x+3/4,-y+1/2,z+1/4'
loop_
_atom_site_label
_atom_site_fract_x
_atom_site_fract_y
_atom_site_fract_z
Te1 0.0184 0.2564 0.4460
Pd1 0.0000 0.0000 0.0000
Cl1 0.1250 0.1250 0.6250
```

Most intense lines, 2θ from 10° to 90°, low angle first:
2theta, Rel. int.
13.8, 100.0
29.5, 70.4
33.3, 62.7
34.0, 75.7
37.0, 41.0
41.7, 33.9
43.3, 25.3
46.0, 42.0
50.6, 40.0
71.7, 27.5


(12)
The following is a simulated powder diffractogram of CaY5Pt6. It was derived from a PBE-relaxed structure, using Cu Kα, 1.54184 Å.
Kinematic intensities with the Lorentz-polarization factor, no thermal factor.

Crystal structure
```
data_CaY5Pt6
_chemical_formula_sum 'Ca2 Y10 Pt12'
_cell_length_a 8.5690
_cell_length_b 14.8582
_cell_length_c 4.9477
_cell_angle_alpha 90.00
_cell_angle_beta 125.14
_cell_angle_gamma 90.00
_space_group_name_H-M_alt 'C 1 2/m 1'
_space_group_IT_number 12
_space_group_name_Hall '-C 2y'
loop_
_atom_site_label
_atom_site_fract_x
_atom_site_fract_y
_atom_site_fract_z
Ca1 0.0000 0.0000 0.0000
Y1 0.0000 0.1614 0.5000
Y2 0.0000 0.3318 0.0000
Y3 0.0000 0.5000 0.5000
Pt1 0.2346 0.5000 0.2348
Pt2 0.2411 0.3275 0.7410
```

Most intense lines, 2θ from 10° to 90°, low angle first:
2theta, Rel. int.
25.4, 19.0
36.3, 100.0
44.8, 5.8
52.3, 17.3
59.0, 5.0
65.2, 25.8
65.4, 8.8
77.0, 5.2
77.1, 5.4
88.3, 10.2


(13)
The following is a simulated powder diffractogram of YSiAs2. It was derived from a PBE-relaxed structure, using Cu Kα, 1.54184 Å.
Kinematic intensities with the Lorentz-polarization factor, no thermal factor.

Crystal structure
```
data_YSiAs2
_chemical_formula_sum 'Y1 Si1 As2'
_cell_length_a 4.0146
_cell_length_b 4.0037
_cell_length_c 5.9551
_cell_angle_alpha 90.00
_cell_angle_beta 107.73
_cell_angle_gamma 90.00
_space_group_name_H-M_alt 'P 1 m 1'
_space_group_IT_number 6
_space_group_name_Hall 'P -2y'
loop_
_atom_site_label
_atom_site_fract_x
_atom_site_fract_y
_atom_site_fract_z
Y1 0.0000 0.0000 0.0000
Si1 0.5868 0.5000 0.2434
As1 0.4302 0.5000 0.8340
As2 0.7792 0.0000 0.4555
```

Most intense lines, 2θ from 10° to 90°, low angle first:
2theta, Rel. int.
15.6, 21.7
31.5, 21.2
32.0, 29.4
32.4, 100.0
32.8, 52.5
33.1, 42.0
38.9, 61.8
45.2, 35.8
45.3, 29.7
65.9, 24.2


(14)
The following is a simulated powder diffractogram of Zr12SnPb3. It was derived from a PBE-relaxed structure, using Cu Kα, 1.54184 Å.
Kinematic intensities with the Lorentz-polarization factor, no thermal factor.

Crystal structure
```
data_Zr12SnPb3
_chemical_formula_sum 'Zr12 Sn1 Pb3'
_cell_length_a 5.6779
_cell_length_b 5.6779
_cell_length_c 11.3651
_cell_angle_alpha 90.00
_cell_angle_beta 90.00
_cell_angle_gamma 90.00
_space_group_name_H-M_alt 'P m m m'
_space_group_IT_number 47
_space_group_name_Hall '-P 2 2'
loop_
_atom_site_label
_atom_site_fract_x
_atom_site_fract_y
_atom_site_fract_z
Zr1 0.0000 0.0000 0.1238
Zr2 0.0000 0.0000 0.3745
Zr3 0.2493 0.5000 0.2476
Zr4 0.5000 0.2496 0.5000
Zr5 0.5000 0.2517 0.0000
Sn1 0.0000 0.5000 0.0000
Pb1 0.0000 0.5000 0.5000
Pb2 0.5000 0.0000 0.2500
```

Most intense lines, 2θ from 10° to 90°, low angle first:
2theta, Rel. int.
22.1, 20.7
31.5, 43.8
35.3, 59.0
38.8, 100.0
58.6, 13.1
61.0, 53.5
65.8, 14.6
74.8, 14.9
76.9, 11.4
79.1, 12.9